The following is a calculated powder XRD pattern of ZnI2O6. It was derived from a structure optimized by DFT (GGA-PBE), using Cu Ka.

Largest 10 diffraction maxima, in order of falling intensity, 10 to 80 degrees two-theta:
hkl 1 1 1, d 3.564, 2θ = 25.0°, intensity 100
hkl 0 1 2, d 3.542, 2θ = 25.1°, intensity 46
hkl 2 0 0, d 2.776, 2θ = 32.2°, intensity 18
hkl 1 0 3, d 2.735, 2θ = 32.7°, intensity 17
hkl 1 0 -3, d 2.753, 2θ = 32.5°, intensity 16
hkl 1 2 3, d 1.910, 2θ = 47.6°, intensity 16
hkl 2 2 0, d 1.924, 2θ = 47.2°, intensity 16
hkl 1 2 -3, d 1.916, 2θ = 47.4°, intensity 14
hkl 0 2 0, d 2.670, 2θ = 33.6°, intensity 13
hkl 1 1 -2, d 2.994, 2θ = 29.8°, intensity 11

Structure:
```
18
Lattice="5.5518 0.0000 0.0000 0.0000 5.3391 0.0000 -0.0704 0.0000 9.4690" Properties=species:S:1:pos:R:3 pbc="T T T"
Zn 1.2730 0.0000 2.3297
Zn 4.2084 2.6695 7.1393
I 1.4232 3.0424 5.3596
I 1.4406 0.5090 8.5198
I 4.0408 3.1785 0.9491
I 4.0582 0.3729 4.1094
O 0.0734 1.2110 3.6026
O 0.4602 1.5073 7.3133
O 0.7928 1.1198 0.6317
O 1.9072 4.1580 3.9696
O 2.4743 4.1511 0.9400
O 2.5287 3.8172 6.6197
O 2.9527 1.1477 2.8493
O 3.0071 1.4815 8.5289
O 3.5742 1.4885 5.4994
O 4.6885 3.7893 8.8373
O 5.0211 4.1768 2.1557
O 5.4080 3.8806 5.8664
```

=====

The following is a calculated powder XRD pattern of Pr6OsI10. It was derived from a structure optimized by DFT (GGA-PBE), using Cu Ka.

Largest 10 diffraction maxima, in order of falling intensity, 10 to 80 degrees two-theta:
hkl 1 1 -3, d 3.227, 2θ = 27.6°, intensity 100
hkl 2 0 1, d 3.273, 2θ = 27.3°, intensity 98
hkl 1 -3 0, d 3.176, 2θ = 28.1°, intensity 92
hkl 3 1 -2, d 2.315, 2θ = 38.9°, intensity 37
hkl 1 -1 4, d 2.281, 2θ = 39.5°, intensity 37
hkl 0 4 -3, d 2.255, 2θ = 40.0°, intensity 34
hkl 1 3 1, d 2.253, 2θ = 40.0°, intensity 33
hkl -2 2 3, d 2.272, 2θ = 39.7°, intensity 32
hkl 3 -3 1, d 2.307, 2θ = 39.1°, intensity 31
hkl 0 1 -1, d 8.128, 2θ = 10.9°, intensity 21

Structure:
```
17
Lattice="8.0729 0.0000 0.0000 -2.6261 9.6879 0.0000 -1.3136 -3.5654 9.4390" Properties=species:S:1:pos:R:3 pbc="T T T"
Pr -0.9020 0.6860 3.9549
Pr -0.8140 4.3521 2.3803
Pr 0.3699 3.7307 6.3550
Pr 3.7634 2.3918 3.0839
Pr 4.9473 1.7704 7.0587
Pr 5.0352 5.4365 5.4841
Os -1.9699 3.0613 4.7195
I -2.0060 7.2696 3.0364
I 0.8519 1.7610 1.4295
I -0.6809 2.2904 9.0739
I -0.6749 6.5052 7.3095
I 2.0341 0.9611 5.5636
I 2.0991 5.1614 3.8754
I 4.8081 -0.3827 2.1295
I 4.8141 3.8321 0.3650
I 3.2813 4.3615 8.0095
I 6.1392 -1.1471 6.4025
```

=====

The following is a calculated powder XRD pattern of PI3. It was derived from a structure optimized by DFT (GGA-PBE), using Cu Ka.

Largest 10 diffraction maxima, in order of falling intensity, 10 to 80 degrees two-theta:
hkl 1 1 1, d 3.413, 2θ = 26.1°, intensity 100
hkl 0 0 2, d 4.216, 2θ = 21.1°, intensity 43
hkl 1 1 3, d 2.245, 2θ = 40.2°, intensity 31
hkl 3 0 2, d 1.919, 2θ = 47.4°, intensity 20
hkl 1 1 2, d 2.795, 2θ = 32.0°, intensity 20
hkl 3 0 0, d 2.155, 2θ = 41.9°, intensity 17
hkl 1 0 1, d 5.131, 2θ = 17.3°, intensity 16
hkl 1 1 0, d 3.732, 2θ = 23.8°, intensity 14
hkl 2 2 1, d 1.822, 2θ = 50.1°, intensity 11
hkl 1 1 5, d 1.537, 2θ = 60.2°, intensity 9

Structure:
```
8
Lattice="7.4648 0.0000 0.0000 -3.7324 6.4647 0.0000 0.0000 0.0000 8.4328" Properties=species:S:1:pos:R:3 pbc="T T T"
P 0.0000 4.3098 0.0000
P 3.7324 2.1549 4.2164
I -0.9885 2.2846 7.3856
I -1.2596 6.1785 7.3856
I 1.4842 1.9984 3.1692
I 2.2482 4.4663 7.3856
I 4.9921 0.2862 3.1692
I 4.7210 4.1801 3.1692
```

=====

The following is a calculated powder XRD pattern of PI2. It was derived from a structure optimized by DFT (GGA-PBE), using Cu Ka.

Largest 10 diffraction maxima, in order of falling intensity, 10 to 80 degrees two-theta:
hkl 1 0 1, d 4.474, 2θ = 19.8°, intensity 100
hkl 0 0 2, d 3.758, 2θ = 23.7°, intensity 61
hkl 1 1 -1, d 3.598, 2θ = 24.7°, intensity 49
hkl 1 2 1, d 3.349, 2θ = 26.6°, intensity 44
hkl 2 1 0, d 2.535, 2θ = 35.4°, intensity 31
hkl 0 2 -1, d 3.108, 2θ = 28.7°, intensity 30
hkl 1 0 0, d 4.918, 2θ = 18.0°, intensity 26
hkl 2 -1 1, d 2.145, 2θ = 42.1°, intensity 26
hkl -2 1 1, d 2.017, 2θ = 44.9°, intensity 25
hkl -1 1 1, d 3.200, 2θ = 27.9°, intensity 24

Structure:
```
6
Lattice="5.2043 0.0000 0.0000 2.1450 7.2558 0.0000 1.6165 0.8954 7.5161" Properties=species:S:1:pos:R:3 pbc="T T T"
P 1.6455 3.5034 0.9613
P 7.3203 4.6478 6.5548
I 3.3314 6.7049 5.8559
I 3.3617 2.8687 5.3365
I 5.6041 5.2825 2.1796
I 5.6344 1.4463 1.6602
```

=====

The following is a calculated powder XRD pattern of P4S3I2. It was derived from a structure optimized by DFT (GGA-PBE), using Cu Ka.

Largest 10 diffraction maxima, in order of falling intensity, 10 to 80 degrees two-theta:
hkl 2 2 1, d 3.644, 2θ = 24.4°, intensity 100
hkl 0 5 1, d 3.020, 2θ = 29.6°, intensity 63
hkl 2 0 1, d 4.046, 2θ = 22.0°, intensity 59
hkl 2 4 1, d 2.911, 2θ = 30.7°, intensity 47
hkl 2 1 0, d 4.768, 2θ = 18.6°, intensity 47
hkl 2 3 0, d 3.715, 2θ = 24.0°, intensity 45
hkl 4 5 1, d 1.920, 2θ = 47.4°, intensity 44
hkl 0 3 1, d 4.356, 2θ = 20.4°, intensity 42
hkl 0 0 2, d 3.479, 2θ = 25.6°, intensity 40
hkl 2 1 2, d 2.812, 2θ = 31.8°, intensity 32

Structure:
```
36
Lattice="9.9472 0.0000 0.0000 0.0000 16.7592 0.0000 0.0000 0.0000 6.9589" Properties=species:S:1:pos:R:3 pbc="T T T"
P 0.2151 2.4985 0.3247
P 0.2151 5.8812 0.3247
P 1.3198 4.1898 1.3260
P 2.4284 4.1898 5.2675
P 2.5452 12.5694 1.7880
P 3.6539 12.5694 4.8055
P 4.7586 10.8781 3.8042
P 4.7586 14.2608 3.8042
P 5.1887 2.4985 3.1547
P 5.1887 5.8812 3.1547
P 6.2934 4.1898 2.1535
P 7.4021 4.1898 5.1709
P 7.5188 12.5694 1.6914
P 8.6275 12.5694 5.6329
P 9.7322 10.8781 6.6342
P 9.7322 14.2608 6.6342
S 1.1013 2.5096 5.3336
S 1.1013 5.8700 5.3336
S 1.8089 12.5694 3.7677
S 3.1647 4.1898 0.2883
S 3.8723 10.8893 1.8541
S 3.8723 14.2496 1.8541
S 6.0749 2.5096 5.1049
S 6.0749 5.8700 5.1049
S 6.7825 12.5694 6.6707
S 8.1383 4.1898 3.1912
S 8.8459 10.8893 1.6254
S 8.8459 14.2496 1.6254
I 1.4474 0.6965 1.5452
I 1.4474 7.6831 1.5452
I 3.5262 9.0761 5.0246
I 3.5262 16.0628 5.0246
I 6.4210 0.6965 1.9343
I 6.4210 7.6831 1.9343
I 8.4998 9.0761 5.4138
I 8.4998 16.0628 5.4138
```

=====

Number 2 is which compound? Pr6OsI10